The following is a computed powder XRD pattern of FeH10PtC14N6. It was derived from the PBE geometry in OQMD, using Cu Kα (λ = 1.5418 Å).
Intensities are scaled so that the largest is 100.

Cell lengths 8.1014, 8.1014, 7.1173 Å; angles 90.00, 90.00, 127.88 degrees
Sites, in units of the cell vectors:
Fe (0.0000, 0.0000, 0.0000)
H (0.1419, 0.8581, 0.2899)
H (0.1419, 0.8581, 0.7101)
H (0.3142, 0.6858, 0.3025)
H (0.3142, 0.6858, 0.6975)
H (0.4026, 0.5974, 0.0000)
H (0.5974, 0.4026, 0.0000)
H (0.6858, 0.3142, 0.3025)
H (0.6858, 0.3142, 0.6975)
H (0.8581, 0.1419, 0.2899)
H (0.8581, 0.1419, 0.7101)
Pt (0.5000, 0.5000, 0.5000)
C (0.1833, 0.8167, 0.1627)
C (0.1833, 0.8167, 0.8373)
C (0.2786, 0.7214, 0.1678)
C (0.2786, 0.7214, 0.8322)
C (0.3027, 0.3027, 0.3042)
C (0.3027, 0.3027, 0.6958)
C (0.3278, 0.6722, 0.0000)
C (0.6722, 0.3278, 0.0000)
C (0.6973, 0.6973, 0.3042)
C (0.6973, 0.6973, 0.6958)
C (0.7214, 0.2786, 0.1678)
C (0.7214, 0.2786, 0.8322)
C (0.8167, 0.1833, 0.1627)
C (0.8167, 0.1833, 0.8373)
N (0.1359, 0.8641, 0.0000)
N (0.1873, 0.1873, 0.1869)
N (0.1873, 0.1873, 0.8131)
N (0.8127, 0.8127, 0.1869)
N (0.8127, 0.8127, 0.8131)
N (0.8641, 0.1359, 0.0000)

Largest 8 diffraction maxima, by angle, 10° ≤ 2θ ≤ 80°:
2θ/deg	Rel. int.
12.16	56
17.43	25
18.65	100
24.46	20
25.02	23
25.50	39
35.65	27
37.83	25